For Li4Nb2Fe3Cu3O16, a cell relaxed with GGA+U gives the theoretical X-ray powder pattern in this record (Cu Kα).
Neutral-atom scattering factors, no anomalous dispersion.

Structural model:
```
data_Li4Nb2Fe3Cu3O16
_chemical_formula_sum 'Li8 Nb4 Fe6 Cu6 O32'
_cell_length_a 10.293
_cell_length_b 5.881
_cell_length_c 9.682
_cell_angle_alpha 90.00
_cell_angle_beta 91.20
_cell_angle_gamma 90.00
_space_group_name_H-M_alt 'C 1 m 1'
_space_group_IT_number 8
loop_
_space_group_symop_operation_xyz
'x,y,z'
'x,-y,z'
'x+1/2,y+1/2,z'
'x+1/2,-y+1/2,z'
loop_
_atom_site_label
_atom_site_type_symbol
_atom_site_fract_x
_atom_site_fract_y
_atom_site_fract_z
Li1 Li 0.000 0.000 0.000
Li2 Li 0.001 0.000 0.498
Li3 Li 0.159 0.500 0.093
Li4 Li 0.329 0.000 0.585
Nb1 Nb 0.166 0.500 0.491
Nb2 Nb 0.330 0.000 0.997
Fe1 Fe 0.325 0.500 0.773
Fe2 Fe 0.410 0.244 0.275
Cu1 Cu 0.081 0.255 0.775
Cu2 Cu 0.164 0.000 0.275
O1 O 0.016 0.500 0.647
O2 O 0.072 0.255 0.397
O3 O 0.161 0.500 0.880
O4 O 0.162 0.000 0.904
O5 O 0.238 0.276 0.642
O6 O 0.259 0.226 0.154
O7 O 0.330 0.000 0.375
O8 O 0.331 0.500 0.393
O9 O 0.410 0.253 0.903
O10 O 0.477 0.000 0.157
O11 O 0.492 0.500 0.188
O12 O 0.497 0.500 0.686
```

Top 10 peaks for 15 to 90 degrees two-theta, sorted by position:
Position (°2θ)  d (Å)  I/Imax
18.3  4.840  51
19.6  4.536  62
19.7  4.500  100
32.7  2.741  30
33.0  2.713  40
35.2  2.550  53
35.8  2.510  66
36.3  2.475  44
45.5  1.992  37
62.7  1.482  40